# 1
Calculated powder diffraction line list
Compound: NaTl5In4
Radiation: Cu Kα
Structure: a DFT-relaxed cell (GGA-PBE, Alexandria)
Lines closer than 0.1° are merged.

Atomic structure:
```
data_NaTl5In4
_symmetry_space_group_name_H-M 'P 4/m m m'
_symmetry_Int_Tables_number 123
_symmetry_space_group_name_Hall '-P 4 2'
_cell_length_a 3.4659
_cell_length_b 3.4659
_cell_length_c 23.8877
_cell_angle_alpha 90.00
_cell_angle_beta 90.00
_cell_angle_gamma 90.00
loop_
_atom_site_label
_atom_site_type_symbol
_atom_site_fract_x
_atom_site_fract_y
_atom_site_fract_z
Na1 Na 0.0000 0.0000 0.0000
Tl1 Tl 0.5000 0.5000 0.0977
Tl2 Tl 0.5000 0.5000 0.2953
Tl3 Tl 0.5000 0.5000 0.5000
In1 In 0.0000 0.0000 0.1936
In2 In 0.0000 0.0000 0.3973
```

Largest 10 diffraction maxima, in order of rising 2θ, 2θ = 10–90°:
2θ 18.57, I = 10; 2θ 31.90, I = 100; 2θ 36.67, I = 35; 2θ 37.66, I = 15; 2θ 52.83, I = 12; 2θ 53.57, I = 22; 2θ 63.05, I = 28; 2θ 64.38, I = 12; 2θ 66.68, I = 11; 2θ 87.90, I = 10

---

# 2
Calculated powder diffraction line list
Compound: Na3Tl2In6
Radiation: Cu Kα
Structure: a DFT-relaxed cell (GGA-PBE, Alexandria)
Lines closer than 0.1° are merged.

Atomic structure:
```
data_Na3Tl2In6
_symmetry_space_group_name_H-M 'P -6 2 m'
_symmetry_Int_Tables_number 189
_symmetry_space_group_name_Hall 'P -6 -2'
_cell_length_a 8.8827
_cell_length_b 8.8827
_cell_length_c 4.8614
_cell_angle_alpha 90.00
_cell_angle_beta 90.00
_cell_angle_gamma 120.00
loop_
_atom_site_label
_atom_site_type_symbol
_atom_site_fract_x
_atom_site_fract_y
_atom_site_fract_z
Na1 Na 0.0000 0.5547 0.0000
Tl1 Tl 0.3333 0.6667 0.5000
In1 In 0.0000 0.2165 0.0000
In2 In 0.0000 0.7779 0.5000
```

Largest 10 diffraction maxima, in order of rising 2θ, 2θ = 10–90°:
2θ 23.12, I = 27; 2θ 27.20, I = 92; 2θ 30.75, I = 62; 2θ 35.99, I = 100; 2θ 36.98, I = 33; 2θ 44.87, I = 21; 2θ 48.84, I = 34; 2θ 54.68, I = 29; 2θ 65.98, I = 32; 2θ 67.85, I = 30

---

# 3
Calculated powder diffraction line list
Compound: Na2Tl3In7
Radiation: Cu Kα
Structure: a DFT-relaxed cell (GGA-PBE, Alexandria)
Lines closer than 0.1° are merged.

Atomic structure:
```
data_Na2Tl3In7
_symmetry_space_group_name_H-M 'P 1 2/m 1'
_symmetry_Int_Tables_number 10
_cell_length_a 5.5171
_cell_length_b 3.4736
_cell_length_c 18.0832
_cell_angle_alpha 90.00
_cell_angle_beta 92.06
_cell_angle_gamma 90.00
loop_
_symmetry_equiv_pos_as_xyz
'x,y,z'
'-x,-y,-z'
'-x,y,-z'
'x,-y,z'
loop_
_atom_site_label
_atom_site_type_symbol
_atom_site_fract_x
_atom_site_fract_y
_atom_site_fract_z
Na1 Na 0.2246 0.0000 0.2926
Tl1 Tl 0.0000 0.0000 0.0000
Tl2 Tl 0.2649 0.5000 0.6303
In1 In 0.2108 0.5000 0.1438
In2 In 0.2457 0.0000 0.4640
In3 In 0.2868 0.0000 0.8285
In4 In 0.5000 0.5000 0.0000
```

Largest 10 diffraction maxima, in order of rising 2θ, 2θ = 10–90°:
2θ 18.55, I = 18; 2θ 29.67, I = 37; 2θ 31.84, I = 21; 2θ 32.21, I = 100; 2θ 32.50, I = 52; 2θ 32.68, I = 21; 2θ 33.38, I = 18; 2θ 33.67, I = 35; 2θ 34.43, I = 24; 2θ 52.71, I = 18

---

# 4
Calculated powder diffraction line list
Compound: Na6Tl12In
Radiation: Cu Kα
Structure: a DFT-relaxed cell (GGA-PBE, Alexandria)
Lines closer than 0.1° are merged.

Atomic structure:
```
data_Na6Tl12In
_symmetry_space_group_name_H-M 'R -3'
_symmetry_Int_Tables_number 148
_symmetry_space_group_name_Hall '-R 3'
_cell_length_a 11.8342
_cell_length_b 11.8342
_cell_length_c 13.8670
_cell_angle_alpha 90.00
_cell_angle_beta 90.00
_cell_angle_gamma 120.00
loop_
_atom_site_label
_atom_site_type_symbol
_atom_site_fract_x
_atom_site_fract_y
_atom_site_fract_z
Na1 Na 0.0251 0.4316 0.2095
Tl1 Tl 0.0379 0.1850 0.3136
Tl2 Tl 0.0596 0.8596 0.9076
In1 In 0.0000 0.0000 0.5000
```

Largest 10 diffraction maxima, in order of rising 2θ, 2θ = 10–90°:
2θ 21.56, I = 37; 2θ 23.85, I = 97; 2θ 26.08, I = 41; 2θ 32.14, I = 100; 2θ 32.59, I = 90; 2θ 33.47, I = 93; 2θ 34.09, I = 89; 2θ 34.73, I = 80; 2θ 50.02, I = 41; 2θ 59.80, I = 36

---

# 5
Calculated powder diffraction line list
Compound: Na6TlIn2
Radiation: Cu Kα
Structure: a DFT-relaxed cell (GGA-PBE, Alexandria)
Lines closer than 0.1° are merged.

Atomic structure:
```
data_Na6TlIn2
_symmetry_space_group_name_H-M 'C 1 2/m 1'
_symmetry_Int_Tables_number 12
_cell_length_a 8.5104
_cell_length_b 9.5112
_cell_length_c 6.3661
_cell_angle_alpha 90.00
_cell_angle_beta 99.25
_cell_angle_gamma 90.00
loop_
_symmetry_equiv_pos_as_xyz
'x,y,z'
'-x,-y,-z'
'-x,y,-z'
'x,-y,z'
'x+1/2,y+1/2,z'
'-x+1/2,-y+1/2,-z'
'-x+1/2,y+1/2,-z'
'x+1/2,-y+1/2,z'
loop_
_atom_site_label
_atom_site_type_symbol
_atom_site_fract_x
_atom_site_fract_y
_atom_site_fract_z
Na1 Na 0.0000 0.1665 0.0000
Na2 Na 0.1668 0.3336 0.6665
Tl1 Tl 0.0000 0.0000 0.5000
In1 In 0.1633 0.5000 0.1629
```

Largest 10 diffraction maxima, in order of rising 2θ, 2θ = 10–90°:
2θ 18.69, I = 100; 2θ 32.68, I = 67; 2θ 33.36, I = 96; 2θ 37.95, I = 11; 2θ 43.11, I = 11; 2θ 47.33, I = 13; 2θ 47.42, I = 24; 2θ 58.71, I = 25; 2θ 58.84, I = 12; 2θ 66.81, I = 16

---

# 6
Calculated powder diffraction line list
Compound: Na5Tl2In4
Radiation: Cu Kα
Structure: a DFT-relaxed cell (GGA-PBE, Alexandria)
Lines closer than 0.1° are merged.

Atomic structure:
```
data_Na5Tl2In4
_symmetry_space_group_name_H-M 'P b a m'
_symmetry_Int_Tables_number 55
_cell_length_a 7.6831
_cell_length_b 15.9248
_cell_length_c 5.2042
_cell_angle_alpha 90.00
_cell_angle_beta 90.00
_cell_angle_gamma 90.00
loop_
_symmetry_equiv_pos_as_xyz
'x,y,z'
'-x,-y,-z'
'-x,-y,z'
'x,y,-z'
'x+1/2,-y+1/2,-z'
'-x+1/2,y+1/2,z'
'-x+1/2,y+1/2,-z'
'x+1/2,-y+1/2,z'
loop_
_atom_site_label
_atom_site_type_symbol
_atom_site_fract_x
_atom_site_fract_y
_atom_site_fract_z
Na1 Na 0.0000 0.0000 0.0000
Na2 Na 0.1163 0.4162 0.0000
Na3 Na 0.2259 0.1963 0.0000
Tl1 Tl 0.0444 0.3037 0.5000
In1 In 0.0786 0.8780 0.5000
In2 In 0.2082 0.5431 0.5000
```

Largest 10 diffraction maxima, in order of rising 2θ, 2θ = 10–90°:
2θ 17.04, I = 100; 2θ 25.75, I = 19; 2θ 30.38, I = 21; 2θ 30.57, I = 25; 2θ 31.04, I = 42; 2θ 33.55, I = 21; 2θ 34.47, I = 32; 2θ 35.04, I = 47; 2θ 36.86, I = 20; 2θ 40.87, I = 16

---

# 7
Calculated powder diffraction line list
Compound: Na5Tl2In12
Radiation: Cu Kα
Structure: a DFT-relaxed cell (GGA-PBE, Alexandria)
Lines closer than 0.1° are merged.

Atomic structure:
```
data_Na5Tl2In12
_symmetry_space_group_name_H-M 'C m m m'
_symmetry_Int_Tables_number 65
_symmetry_space_group_name_Hall '-C 2 2'
_cell_length_a 7.8125
_cell_length_b 27.2732
_cell_length_c 5.0413
_cell_angle_alpha 90.00
_cell_angle_beta 90.00
_cell_angle_gamma 90.00
loop_
_atom_site_label
_atom_site_type_symbol
_atom_site_fract_x
_atom_site_fract_y
_atom_site_fract_z
Na1 Na 0.0000 0.0000 0.0000
Na2 Na 0.0000 0.2673 0.0000
Na3 Na 0.0000 0.3778 0.5000
Tl1 Tl 0.2130 0.5000 0.5000
In1 In 0.0000 0.0879 0.5000
In2 In 0.0000 0.4457 0.0000
In3 In 0.1910 0.1983 0.5000
In4 In 0.2066 0.1330 0.0000
```

Largest 10 diffraction maxima, in order of rising 2θ, 2θ = 10–90°:
2θ 14.95, I = 37; 2θ 21.93, I = 44; 2θ 30.17, I = 40; 2θ 31.19, I = 48; 2θ 31.81, I = 100; 2θ 35.62, I = 52; 2θ 37.49, I = 54; 2θ 39.07, I = 22; 2θ 47.35, I = 23; 2θ 67.16, I = 22

---

# 8
Calculated powder diffraction line list
Compound: NaTl7In5
Radiation: Cu Kα
Structure: a DFT-relaxed cell (GGA-PBE, Alexandria)
Lines closer than 0.1° are merged.

Atomic structure:
```
data_NaTl7In5
_symmetry_space_group_name_H-M 'C 1 m 1'
_symmetry_Int_Tables_number 8
_cell_length_a 11.3110
_cell_length_b 4.5869
_cell_length_c 28.9654
_cell_angle_alpha 90.00
_cell_angle_beta 93.06
_cell_angle_gamma 90.00
loop_
_symmetry_equiv_pos_as_xyz
'x,y,z'
'x,-y,z'
'x+1/2,y+1/2,z'
'x+1/2,-y+1/2,z'
loop_
_atom_site_label
_atom_site_type_symbol
_atom_site_fract_x
_atom_site_fract_y
_atom_site_fract_z
Na1 Na 0.0000 0.0000 0.0000
Na2 Na 0.1893 0.5000 0.4585
Tl1 Tl 0.0353 0.5000 0.1907
Tl2 Tl 0.0832 0.0000 0.8817
Tl3 Tl 0.1067 0.5000 0.5761
Tl4 Tl 0.1472 0.0000 0.7669
Tl5 Tl 0.1568 0.0000 0.2678
Tl6 Tl 0.1915 0.5000 0.9603
Tl7 Tl 0.2687 0.5000 0.3451
Tl8 Tl 0.3029 0.0000 0.5377
Tl9 Tl 0.3042 0.0000 0.0381
Tl10 Tl 0.3437 0.5000 0.7277
Tl11 Tl 0.3858 0.0000 0.4201
Tl12 Tl 0.3863 0.0000 0.9212
Tl13 Tl 0.4226 0.5000 0.1133
Tl14 Tl 0.4967 0.5000 0.4981
In1 In 0.0341 0.5000 0.6876
In2 In 0.0708 0.0000 0.3791
In3 In 0.1207 0.5000 0.0794
In4 In 0.2229 0.0000 0.6512
In5 In 0.2319 0.0000 0.1535
In6 In 0.2768 0.5000 0.8428
In7 In 0.3465 0.5000 0.2293
In8 In 0.4133 0.5000 0.6154
In9 In 0.4602 0.0000 0.3053
In10 In 0.4600 0.0000 0.8065
```

Largest 10 diffraction maxima, in order of rising 2θ, 2θ = 10–90°:
2θ 31.61, I = 100; 2θ 32.18, I = 94; 2θ 35.62, I = 36; 2θ 35.99, I = 35; 2θ 39.28, I = 28; 2θ 54.06, I = 22; 2θ 54.33, I = 21; 2θ 61.14, I = 15; 2θ 61.63, I = 14; 2θ 62.17, I = 14

---

# 9
Calculated powder diffraction line list
Compound: Na3TlIn
Radiation: Cu Kα
Structure: a DFT-relaxed cell (GGA-PBE, Alexandria)
Lines closer than 0.1° are merged.

Atomic structure:
```
data_Na3TlIn
_symmetry_space_group_name_H-M 'P 1 21/m 1'
_symmetry_Int_Tables_number 11
_cell_length_a 6.4106
_cell_length_b 5.3501
_cell_length_c 8.2756
_cell_angle_alpha 90.00
_cell_angle_beta 102.57
_cell_angle_gamma 90.00
loop_
_symmetry_equiv_pos_as_xyz
'x,y,z'
'-x,-y,-z'
'-x,y+1/2,-z'
'x,-y+1/2,z'
loop_
_atom_site_label
_atom_site_type_symbol
_atom_site_fract_x
_atom_site_fract_y
_atom_site_fract_z
Na1 Na 0.0558 0.2500 0.3441
Na2 Na 0.2563 0.2500 0.7491
Na3 Na 0.4418 0.2500 0.1518
Tl1 Tl 0.3423 0.7500 0.4489
In1 In 0.1410 0.7500 0.0506
```

Largest 10 diffraction maxima, in order of rising 2θ, 2θ = 10–90°:
2θ 10.95, I = 16; 2θ 15.92, I = 62; 2θ 21.86, I = 59; 2θ 22.01, I = 28; 2θ 32.93, I = 70; 2θ 33.24, I = 36; 2θ 33.44, I = 100; 2θ 37.34, I = 32; 2θ 47.91, I = 24; 2θ 59.82, I = 29

---

# 10
Calculated powder diffraction line list
Compound: Na9TlIn4
Radiation: Cu Kα
Structure: a DFT-relaxed cell (GGA-PBE, Alexandria)
Lines closer than 0.1° are merged.

Atomic structure:
```
data_Na9TlIn4
_symmetry_space_group_name_H-M 'P 63/m m c'
_symmetry_Int_Tables_number 194
_symmetry_space_group_name_Hall '-P 6c 2c'
_cell_length_a 10.0171
_cell_length_b 10.0171
_cell_length_c 10.0508
_cell_angle_alpha 90.00
_cell_angle_beta 90.00
_cell_angle_gamma 120.00
loop_
_atom_site_label
_atom_site_type_symbol
_atom_site_fract_x
_atom_site_fract_y
_atom_site_fract_z
Na1 Na 0.0687 0.5344 0.2500
Na2 Na 0.1936 0.3872 0.5533
Tl1 Tl 0.3333 0.6667 0.7500
In1 In 0.0000 0.0000 0.0000
In2 In 0.1104 0.2207 0.2500
```

Largest 10 diffraction maxima, in order of rising 2θ, 2θ = 10–90°:
2θ 10.20, I = 77; 2θ 13.48, I = 41; 2θ 17.68, I = 75; 2θ 22.32, I = 74; 2θ 32.21, I = 43; 2θ 32.61, I = 100; 2θ 33.81, I = 52; 2θ 35.74, I = 23; 2θ 38.47, I = 46; 2θ 46.47, I = 27

---

# 11
Calculated powder diffraction line list
Compound: Na10Tl3In3
Radiation: Cu Kα
Structure: a DFT-relaxed cell (GGA-PBE, Alexandria)
Lines closer than 0.1° are merged.

Atomic structure:
```
data_Na10Tl3In3
_symmetry_space_group_name_H-M 'P -6 2 m'
_symmetry_Int_Tables_number 189
_symmetry_space_group_name_Hall 'P -6 -2'
_cell_length_a 9.6295
_cell_length_b 9.6295
_cell_length_c 6.0230
_cell_angle_alpha 90.00
_cell_angle_beta 90.00
_cell_angle_gamma 120.00
loop_
_atom_site_label
_atom_site_type_symbol
_atom_site_fract_x
_atom_site_fract_y
_atom_site_fract_z
Na1 Na 0.0000 0.2437 0.0000
Na2 Na 0.0000 0.7578 0.5000
Na3 Na 0.3333 0.6667 0.2512
Tl1 Tl 0.0000 0.5945 0.0000
In1 In 0.0000 0.4055 0.5000
```

Largest 10 diffraction maxima, in order of rising 2θ, 2θ = 10–90°:
2θ 10.61, I = 40; 2θ 18.43, I = 43; 2θ 21.31, I = 42; 2θ 23.66, I = 100; 2θ 29.66, I = 30; 2θ 32.05, I = 83; 2θ 32.20, I = 25; 2θ 35.15, I = 38; 2θ 36.82, I = 31; 2θ 41.84, I = 71

---

# 12
Calculated powder diffraction line list
Compound: Na2Tl6In3
Radiation: Cu Kα
Structure: a DFT-relaxed cell (GGA-PBE, Alexandria)
Lines closer than 0.1° are merged.

Atomic structure:
```
data_Na2Tl6In3
_symmetry_space_group_name_H-M 'P -6 2 m'
_symmetry_Int_Tables_number 189
_symmetry_space_group_name_Hall 'P -6 -2'
_cell_length_a 8.5356
_cell_length_b 8.5356
_cell_length_c 5.9754
_cell_angle_alpha 90.00
_cell_angle_beta 90.00
_cell_angle_gamma 120.00
loop_
_atom_site_label
_atom_site_type_symbol
_atom_site_fract_x
_atom_site_fract_y
_atom_site_fract_z
Na1 Na 0.3333 0.6667 0.0000
Tl1 Tl 0.0000 0.2245 0.0000
Tl2 Tl 0.0000 0.5711 0.5000
In1 In 0.0000 0.2133 0.5000
```

Largest 10 diffraction maxima, in order of rising 2θ, 2θ = 10–90°:
2θ 11.97, I = 26; 2θ 20.81, I = 20; 2θ 25.65, I = 40; 2θ 28.39, I = 36; 2θ 29.91, I = 43; 2θ 32.03, I = 100; 2θ 44.39, I = 82; 2θ 46.85, I = 21; 2θ 71.63, I = 20; 2θ 73.77, I = 17

---

Q: Number 8 is which compound?
A: NaTl7In5

---

Q: Number 10 is which compound?
A: Na9TlIn4